Starting from a PBE+U-relaxed structure, the X-ray diffraction stick pattern of Cr2PIO4 was simulated for Cu Kα, 1.54184 Å.
No peak broadening, texture or thermal motion is included.

Cell and atoms:
Unit cell a=6.510 b=6.423 c=12.820 alpha=90.00 beta=104.94 gamma=90.00
Fractional coordinates of all 32 atoms:
Cr: 0.038 0.150 0.104
Cr: 0.038 0.350 0.604
Cr: 0.412 0.515 0.108
Cr: 0.412 0.985 0.608
Cr: 0.588 0.015 0.392
Cr: 0.588 0.485 0.892
Cr: 0.962 0.650 0.396
Cr: 0.962 0.850 0.896
P: 0.074 0.132 0.378
P: 0.074 0.368 0.878
P: 0.926 0.632 0.122
P: 0.926 0.868 0.622
I: 0.499 0.535 0.340
I: 0.499 0.965 0.840
I: 0.501 0.035 0.160
I: 0.501 0.465 0.660
O: 0.034 0.165 0.939
O: 0.034 0.335 0.439
O: 0.058 0.175 0.262
O: 0.058 0.325 0.762
O: 0.098 0.031 0.609
O: 0.098 0.469 0.109
O: 0.299 0.038 0.437
O: 0.299 0.462 0.937
O: 0.701 0.538 0.063
O: 0.701 0.962 0.563
O: 0.902 0.531 0.891
O: 0.902 0.969 0.391
O: 0.942 0.675 0.238
O: 0.942 0.825 0.738
O: 0.966 0.665 0.561
O: 0.966 0.835 0.061

Top 8 peaks for 15 to 90 degrees two-theta, in order of falling intensity:
2θ = 28.37°, rel. 100; 2θ = 31.27°, rel. 87; 2θ = 28.83°, rel. 66; 2θ = 28.71°, rel. 44; 2θ = 27.78°, rel. 44; 2θ = 26.49°, rel. 43; 2θ = 32.01°, rel. 42; 2θ = 30.80°, rel. 36